(1)
This entry pairs a crystal structure of Nb2In with its simulated powder diffractogram. Radiation: Cu Ka. Structure: a DFT-relaxed cell (GGA-PBE, Alexandria).
Lines closer than 0.1° are merged.

abc: 3.289 6.235 12.290
angles: 90.00 90.00 90.00
Sites, in units of the cell vectors:
Nb 0.000 0.000 0.130
Nb 0.000 0.000 0.870
Nb 0.000 0.247 0.500
Nb 0.000 0.753 0.500
Nb 0.500 0.253 0.000
Nb 0.500 0.500 0.370
Nb 0.500 0.500 0.630
Nb 0.500 0.747 0.000
In 0.000 0.500 0.165
In 0.000 0.500 0.835
In 0.500 0.000 0.335
In 0.500 0.000 0.665

Most intense lines, 5 to 70 degrees two-theta, by angle:
| two_theta | I (rel.) |
| --- | --- |
| 28.63 | 143 |
| 32.20 | 382 |
| 34.98 | 1000 |
| 40.54 | 785 |
| 41.25 | 490 |
| 44.22 | 165 |
| 55.91 | 146 |
| 67.53 | 198 |


(2)
This entry pairs a crystal structure of Nb3In with its simulated powder diffractogram. Radiation: Cu Ka. Structure: a DFT-relaxed cell (GGA-PBE, Alexandria).
Lines closer than 0.1° are merged.

abc: 5.333 5.333 5.333
angles: 90.00 90.00 90.00
Sites, in units of the cell vectors:
Nb 0.000 0.250 0.500
Nb 0.000 0.750 0.500
Nb 0.250 0.500 0.000
Nb 0.500 0.000 0.250
Nb 0.500 0.000 0.750
Nb 0.750 0.500 0.000
In 0.000 0.000 0.000
In 0.500 0.500 0.500

Most intense lines, 5 to 70 degrees two-theta, by angle:
| two_theta | I (rel.) |
| --- | --- |
| 23.59 | 19 |
| 33.61 | 426 |
| 37.72 | 1000 |
| 41.47 | 943 |
| 60.10 | 65 |
| 62.82 | 216 |
| 65.49 | 467 |


(3)
This entry pairs a crystal structure of Nb5In with its simulated powder diffractogram. Radiation: Cu Ka. Structure: a DFT-relaxed cell (GGA-PBE, Alexandria).
Lines closer than 0.1° are merged.

abc: 3.422 3.422 9.634
angles: 90.00 90.00 90.00
Sites, in units of the cell vectors:
Nb 0.000 0.000 0.000
Nb 0.000 0.000 0.323
Nb 0.000 0.000 0.677
Nb 0.500 0.500 0.169
Nb 0.500 0.500 0.831
In 0.500 0.500 0.500

Most intense lines, 5 to 70 degrees two-theta, by angle:
| two_theta | I (rel.) |
| --- | --- |
| 27.66 | 8 |
| 32.08 | 7 |
| 37.15 | 558 |
| 38.44 | 1000 |
| 53.56 | 189 |
| 53.69 | 7 |
| 57.39 | 72 |
| 67.83 | 358 |


(4)
This entry pairs a crystal structure of Nb13In2 with its simulated powder diffractogram. Radiation: Cu Ka. Structure: a DFT-relaxed cell (GGA-PBE, Alexandria).
Lines closer than 0.1° are merged.

abc: 8.294 8.294 8.294
angles: 53.40 53.40 53.40
Sites, in units of the cell vectors:
Nb 0.000 0.000 0.000
Nb 0.123 0.123 0.497
Nb 0.123 0.497 0.123
Nb 0.245 0.245 0.636
Nb 0.245 0.636 0.245
Nb 0.364 0.755 0.755
Nb 0.497 0.123 0.123
Nb 0.503 0.877 0.877
Nb 0.636 0.245 0.245
Nb 0.755 0.364 0.755
Nb 0.755 0.755 0.364
Nb 0.877 0.503 0.877
Nb 0.877 0.877 0.503
In 0.135 0.135 0.135
In 0.865 0.865 0.865

Most intense lines, 5 to 70 degrees two-theta, by angle:
| two_theta | I (rel.) |
| --- | --- |
| 12.48 | 287 |
| 14.34 | 374 |
| 36.55 | 520 |
| 37.09 | 1000 |
| 37.83 | 372 |
| 40.78 | 779 |
| 49.56 | 266 |
| 57.97 | 254 |